[1]
For Na2Ca2I2Br5, a structure optimized by DFT (PBE) gives the simulated powder diffraction line list in this record (Cu Kα (λ = 1.5418 Å)).
Neutral-atom scattering factors, no anomalous dispersion.

Atomic structure:
Cell: 13.8533 13.8533 13.8533 Å, 156.08 156.08 34.08°
Fractional positions:
Na 0.1512 0.1512 0.0000
Na 0.8488 0.8488 0.0000
Ca 0.3953 0.3953 0.0000
Ca 0.6047 0.6047 0.0000
I 0.2674 0.2674 0.0000
I 0.7326 0.7326 0.0000
Br 0.1185 0.6185 0.5000
Br 0.3815 0.8815 0.5000
Br 0.5000 0.5000 0.0000
Br 0.6185 0.1185 0.5000
Br 0.8815 0.3815 0.5000

The 12 most intense peaks (5 to 70 degrees two-theta), low angle first:
d/Å  2θ (°)  I_rel
13.245  6.67  31
5.611  15.79  27
3.885  22.89  24
3.461  25.74  100
3.311  26.93  31
2.870  31.16  71
2.619  34.24  28
2.169  41.64  37
2.030  44.64  26
1.935  46.96  22
1.751  52.25  29
1.731  52.91  18



[2]
For CsSr2InI8, a structure optimized by DFT (PBE) gives the simulated powder diffraction line list in this record (Cu Kα (λ = 1.5418 Å)).
Neutral-atom scattering factors, no anomalous dispersion.

Atomic structure:
Cell: 7.4713 7.7123 10.2767 Å, 89.94 89.92 89.07°
Fractional positions:
Cs 0.0000 0.0000 0.0000
Sr 0.4997 0.5001 0.2574
Sr 0.5003 0.4999 0.7426
In 0.0000 0.0000 0.5000
I 0.2368 0.8543 0.7001
I 0.2380 0.8557 0.2997
I 0.2405 0.3331 0.5004
I 0.2616 0.3986 0.0002
I 0.7384 0.6014 0.9998
I 0.7595 0.6669 0.4996
I 0.7620 0.1443 0.7003
I 0.7632 0.1457 0.2999

The 12 most intense peaks (5 to 70 degrees two-theta), low angle first:
d/Å  2θ (°)  I_rel
5.409  16.39  51
5.323  16.66  38
4.234  20.98  37
3.728  23.87  100
3.697  24.07  97
3.449  25.83  72
3.404  26.18  57
2.826  31.67  76
2.801  31.96  93
2.569  34.92  39
2.299  39.19  62
1.867  48.77  28



[3]
For Er3Be4Co4, a structure optimized by DFT (PBE) gives the simulated powder diffraction line list in this record (Cu Kα (λ = 1.5418 Å)).
Neutral-atom scattering factors, no anomalous dispersion.

Atomic structure:
Cell: 5.9014 5.9014 5.9014 Å, 109.47 109.47 109.47°
Fractional positions:
Er 0.0000 0.5000 0.5000
Er 0.5000 0.0000 0.5000
Er 0.5000 0.5000 0.0000
Be 0.0000 0.0000 0.3805
Be 0.0000 0.3805 0.0000
Be 0.3805 0.0000 0.0000
Be 0.6195 0.6195 0.6195
Co 0.0000 0.0000 0.7465
Co 0.0000 0.7465 0.0000
Co 0.2535 0.2535 0.2535
Co 0.7465 0.0000 0.0000

The 12 most intense peaks (5 to 70 degrees two-theta), low angle first:
d/Å  2θ (°)  I_rel
4.818  18.41  3
3.407  26.15  100
2.782  32.18  45
2.409  37.32  93
2.155  41.92  46
1.967  46.15  38
1.821  50.09  25
1.704  53.81  4
1.606  57.37  16
1.524  60.79  43
1.453  64.10  7
1.391  67.32  32



[4]
For TmTiPb, a structure optimized by DFT (PBE) gives the simulated powder diffraction line list in this record (Cu Kα (λ = 1.5418 Å)).
Neutral-atom scattering factors, no anomalous dispersion.

Atomic structure:
Cell: 4.2859 4.2859 7.9271 Å, 90.00 90.00 90.00°
Fractional positions:
Tm 0.2500 0.2500 0.1684
Tm 0.7500 0.7500 0.8316
Ti 0.2500 0.7500 0.5000
Ti 0.7500 0.2500 0.5000
Pb 0.2500 0.2500 0.7617
Pb 0.7500 0.7500 0.2383

The 12 most intense peaks (5 to 70 degrees two-theta), low angle first:
d/Å  2θ (°)  I_rel
3.964  22.43  46
3.031  29.47  86
2.910  30.73  19
2.831  31.61  29
2.642  33.93  19
2.407  37.35  100
2.249  40.09  28
2.143  42.17  55
1.885  48.28  26
1.664  55.19  19
1.515  61.16  18
1.487  62.46  23